This entry pairs a crystal structure of ErTmTc with its simulated powder diffractogram. Radiation: CuKα. Structure: a GGA-PBE-relaxed structure.
Intensities are scaled so that the largest is 100.

Structural model:
a = 3.442 Å, b = 3.442 Å, c = 12.159 Å
α = 90.00°, β = 90.00°, γ = 90.00°
Sites, in units of the cell vectors:
Er1 0.000 0.000 0.000
Er2 0.500 0.500 0.500
Tm1 0.000 0.000 0.737
Tm2 0.500 0.500 0.237
Tc1 0.000 0.000 0.368
Tc2 0.500 0.500 0.868

Top 10 peaks for 10° ≤ 2θ ≤ 80°, in order of falling intensity:
34.18 deg, intensity 100, hkl 1 0 3
36.93 deg, intensity 58, hkl 1 1 0
64.79 deg, intensity 31, hkl 2 1 3
45.68 deg, intensity 27, hkl 1 0 5
26.92 deg, intensity 22, hkl 1 0 1
53.23 deg, intensity 20, hkl 2 0 0
47.88 deg, intensity 16, hkl 1 1 4
29.38 deg, intensity 15, hkl 0 0 4
73.45 deg, intensity 14, hkl 1 1 8
72.70 deg, intensity 14, hkl 2 1 5

---

This entry pairs a crystal structure of Er3Tm6Tc with its simulated powder diffractogram. Radiation: CuKα. Structure: a GGA-PBE-relaxed structure.
Intensities are scaled so that the largest is 100.

Structural model:
a = 10.187 Å, b = 11.031 Å, c = 5.142 Å
α = 90.00°, β = 90.00°, γ = 90.00°
Sites, in units of the cell vectors:
Er1 0.000 0.000 0.000
Er2 0.104 0.209 0.500
Er3 0.396 0.709 0.000
Er4 0.500 0.500 0.500
Er5 0.604 0.291 0.000
Er6 0.896 0.791 0.500
Tm1 0.082 0.728 0.000
Tm2 0.152 0.552 0.500
Tm3 0.241 0.880 0.500
Tm4 0.259 0.380 0.000
Tm5 0.348 0.052 0.000
Tm6 0.418 0.228 0.500
Tm7 0.582 0.772 0.500
Tm8 0.652 0.948 0.000
Tm9 0.741 0.620 0.000
Tm10 0.759 0.120 0.500
Tm11 0.848 0.448 0.500
Tm12 0.918 0.272 0.000
Tc1 0.000 0.500 0.000
Tc2 0.500 0.000 0.500

Top 10 peaks for 10° ≤ 2θ ≤ 80°, in order of falling intensity:
31.16 deg, intensity 100, hkl 1 3 1
32.63 deg, intensity 99, hkl 3 1 1
34.90 deg, intensity 78, hkl 0 0 2
29.88 deg, intensity 69, hkl 0 3 1
31.58 deg, intensity 48, hkl 3 0 1
30.93 deg, intensity 33, hkl 3 2 0
37.07 deg, intensity 30, hkl 2 4 0
51.82 deg, intensity 23, hkl 2 4 2
60.29 deg, intensity 22, hkl 1 3 3
47.31 deg, intensity 21, hkl 3 2 2

---

This entry pairs a crystal structure of Er3TmTc with its simulated powder diffractogram. Radiation: CuKα. Structure: a GGA-PBE-relaxed structure.
Intensities are scaled so that the largest is 100.

Structural model:
a = 10.604 Å, b = 3.654 Å, c = 13.964 Å
α = 90.00°, β = 90.00°, γ = 90.00°
Sites, in units of the cell vectors:
Er1 0.049 0.250 0.095
Er2 0.080 0.750 0.317
Er3 0.180 0.750 0.744
Er4 0.320 0.250 0.244
Er5 0.420 0.250 0.817
Er6 0.451 0.750 0.595
Er7 0.549 0.250 0.405
Er8 0.580 0.750 0.183
Er9 0.680 0.750 0.756
Er10 0.820 0.250 0.256
Er11 0.920 0.250 0.683
Er12 0.951 0.750 0.905
Tm1 0.179 0.250 0.511
Tm2 0.321 0.750 0.011
Tm3 0.679 0.250 0.989
Tm4 0.821 0.750 0.489
Tc1 0.173 0.250 0.905
Tc2 0.327 0.750 0.405
Tc3 0.673 0.250 0.595
Tc4 0.827 0.750 0.095

Top 10 peaks for 10° ≤ 2θ ≤ 80°, in order of falling intensity:
32.40 deg, intensity 100, hkl 2 1 2
35.53 deg, intensity 53, hkl 2 1 3
34.44 deg, intensity 50, hkl 4 0 1
33.17 deg, intensity 46, hkl 1 0 5
32.27 deg, intensity 44, hkl 1 1 3
28.83 deg, intensity 36, hkl 1 1 2
58.51 deg, intensity 29, hkl 4 1 6
49.92 deg, intensity 25, hkl 0 2 0
30.66 deg, intensity 24, hkl 2 0 4
62.05 deg, intensity 18, hkl 4 2 1